No. 1
Li8CoO5F: calculated powder diffractogram (Cu Ka), based on a structure optimized by DFT (GGA+U).

Largest 10 diffraction maxima, in order of falling intensity, 10 to 80 degrees two-theta:
2θ 24.58, d 3.622, intensity 100, hkl 0 2 1
2θ 18.35, d 4.835, intensity 80, hkl 0 0 1
2θ 32.76, d 2.734, intensity 53, hkl 0 4 0
2θ 24.68, d 3.608, intensity 52, hkl 1 2 -1
2θ 16.21, d 5.468, intensity 41, hkl 0 2 0
2θ 18.48, d 4.801, intensity 39, hkl 1 0 -1
2θ 37.82, d 2.379, intensity 29, hkl 1 4 -1
2θ 53.76, d 1.705, intensity 27, hkl 1 6 -1
2θ 32.15, d 2.784, intensity 23, hkl 1 0 -2
2θ 32.29, d 2.772, intensity 21, hkl 2 0 -1

Structural model:
```
Li8CoO5F
1.0
5.545 0.000 0.000
0.000 10.936 0.000
-2.744 0.000 4.845
Li Co O F
16 2 10 2
Direct
0.020 0.000 0.212 Li
0.020 0.150 0.880 Li
0.291 0.999 0.807 Li
0.314 0.499 0.528 Li
0.330 0.347 0.172 Li
0.335 0.858 0.174 Li
0.359 0.151 0.483 Li
0.386 0.650 0.863 Li
0.614 0.150 0.137 Li
0.641 0.651 0.517 Li
0.665 0.358 0.826 Li
0.670 0.847 0.828 Li
0.686 0.999 0.472 Li
0.709 0.499 0.193 Li
0.980 0.500 0.788 Li
0.980 0.650 0.120 Li
0.006 0.784 0.503 Co
0.994 0.284 0.497 Co
0.000 0.100 0.499 O
0.000 0.600 0.501 O
0.009 0.324 0.822 O
0.323 0.823 0.817 O
0.324 0.324 0.508 O
0.330 0.059 0.168 O
0.670 0.559 0.832 O
0.676 0.824 0.492 O
0.677 0.323 0.183 O
0.991 0.824 0.178 O
0.334 0.562 0.170 F
0.666 0.062 0.830 F
```


No. 2
Li4Co4O3F9: calculated powder diffractogram (Cu Ka), based on a structure optimized by DFT (GGA+U).

Largest 10 diffraction maxima, in order of falling intensity, 10 to 80 degrees two-theta:
2θ 23.11, d 3.849, intensity 100, hkl 0 1 -1
2θ 23.64, d 3.764, intensity 96, hkl 1 0 -1
2θ 24.55, d 3.626, intensity 95, hkl 1 1 2
2θ 32.19, d 2.781, intensity 39, hkl 1 -1 0
2θ 32.73, d 2.737, intensity 35, hkl 1 2 1
2θ 33.26, d 2.694, intensity 32, hkl 0 1 3
2θ 40.04, d 2.252, intensity 26, hkl 1 0 -3
2θ 54.90, d 1.672, intensity 25, hkl 1 2 5
2θ 47.24, d 1.924, intensity 22, hkl 0 2 -2
2θ 42.82, d 2.112, intensity 20, hkl 2 0 2

Structural model:
```
Li4Co4O3F9
1.0
5.077 0.000 0.000
2.448 4.931 0.000
2.227 1.837 8.449
Li Co O F
4 4 3 9
Direct
0.000 0.000 0.000 Li
0.232 0.238 0.251 Li
0.484 0.498 0.499 Li
0.726 0.747 0.760 Li
0.130 0.034 0.607 Co
0.446 0.279 0.852 Co
0.677 0.512 0.102 Co
0.905 0.754 0.348 Co
0.632 0.443 0.932 O
0.741 0.554 0.276 O
0.749 0.198 0.662 O
0.128 0.279 0.049 F
0.133 0.935 0.404 F
0.163 0.630 0.709 F
0.205 0.371 0.460 F
0.231 0.694 0.153 F
0.266 0.045 0.798 F
0.593 0.803 0.552 F
0.657 0.131 0.220 F
0.723 0.866 0.965 F
```


No. 3
Li4Co2OF7: calculated powder diffractogram (Cu Ka), based on a structure optimized by DFT (GGA+U).

Largest 10 diffraction maxima, in order of falling intensity, 10 to 80 degrees two-theta:
2θ 18.41, d 4.818, intensity 100, hkl 1 1 1
2θ 18.25, d 4.860, intensity 96, hkl 1 0 0
2θ 35.03, d 2.561, intensity 53, hkl 1 -1 1
2θ 20.95, d 4.240, intensity 50, hkl 0 1 1
2θ 42.64, d 2.120, intensity 43, hkl 0 2 2
2θ 42.85, d 2.111, intensity 43, hkl 2 0 2
2θ 42.99, d 2.104, intensity 39, hkl 2 2 0
2θ 35.11, d 2.556, intensity 31, hkl 1 2 0
2θ 30.34, d 2.946, intensity 26, hkl 2 1 1
2θ 62.33, d 1.490, intensity 25, hkl 2 2 4

Structural model:
```
Li4Co2OF7
1.0
5.892 0.000 0.000
2.898 5.204 0.000
2.916 1.708 4.914
Li Co O F
4 2 1 7
Direct
0.000 0.000 0.000 Li
0.123 0.606 0.619 Li
0.501 0.992 0.999 Li
0.872 0.383 0.379 Li
0.476 0.475 0.020 Co
0.491 0.999 0.492 Co
0.283 0.255 0.236 O
0.251 0.744 0.760 F
0.266 0.746 0.222 F
0.268 0.214 0.751 F
0.714 0.731 0.765 F
0.741 0.247 0.772 F
0.742 0.775 0.244 F
0.754 0.247 0.234 F
```